For CrHgAs2O8, a structure optimized by DFT (PBE+U) gives the computed powder X-ray diffraction pattern in this record (Cu Ka).
Lines closer than 0.1° are merged.

Crystal structure
```
data_CrHgAs2O8
_space_group_name_H-M_alt 'R -3'
_space_group_IT_number 148
_space_group_name_Hall '-R 3'
_cell_length_a 4.8668
_cell_length_b 4.8668
_cell_length_c 22.4202
_cell_angle_alpha 90.00
_cell_angle_beta 90.00
_cell_angle_gamma 120.00
loop_
_atom_site_label
_atom_site_type_symbol
_atom_site_fract_x
_atom_site_fract_y
_atom_site_fract_z
Cr1 Cr 0.0000 0.0000 0.0000
Hg1 Hg 0.0000 0.0000 0.5000
As1 As 0.0000 0.0000 0.2594
O1 O 0.0000 0.0000 0.1827
O2 O 0.0024 0.6826 0.9487
```

Principal peaks in the range 2θ = 5–70°, by angle:
index, 2theta, d (Å), intensity
1 0 1, 21.45, 4.142, 17
1 0 4, 26.46, 3.369, 100
1 1 0, 36.94, 2.433, 40
0 1 8, 38.58, 2.334, 29
1 1 3, 38.92, 2.314, 16
0 2 4, 46.01, 1.973, 22
3 -1 4, 60.41, 1.532, 19
1 1 12, 62.69, 1.482, 18